# 1
Diffraction record for BaGeTe2Au2Se2. The powder XRD pattern is computed, not measured: it uses DFT lattice parameters and positions (GGA-PBE) and Cu Kα.
Lines closer than 0.1° are merged.

Peak list (10 most intense, 2θ from 10° to 90°, in order of rising 2θ)
14.67 deg, rel. 600
26.18 deg, rel. 1000
26.38 deg, rel. 670
26.58 deg, rel. 850
27.17 deg, rel. 370
32.62 deg, rel. 592
32.75 deg, rel. 863
33.92 deg, rel. 732
39.97 deg, rel. 524
51.75 deg, rel. 388

Structural model:
a = 10.7482 Å, b = 8.6762 Å, c = 7.0182 Å
α = 90.00°, β = 128.53°, γ = 90.00°
Atoms (fractional coordinates):
Ba 0.0000 0.0000 0.0000
Ba 0.5000 0.5000 0.0000
Ge 0.0000 0.4812 0.0000
Ge 0.5000 0.9812 0.0000
Te 0.1874 0.6627 0.3802
Te 0.3126 0.1627 0.6198
Te 0.6874 0.1627 0.3802
Te 0.8126 0.6627 0.6198
Au 0.0000 0.3236 0.5000
Au 0.0000 0.6737 0.5000
Au 0.5000 0.1737 0.5000
Au 0.5000 0.8236 0.5000
Se 0.1653 0.3214 0.9536
Se 0.3347 0.8214 0.0464
Se 0.6653 0.8214 0.9536
Se 0.8347 0.3214 0.0464

# 2
Diffraction record for PrHo2Te3. The powder XRD pattern is computed, not measured: it uses DFT lattice parameters and positions (GGA-PBE) and Cu Kα.
Lines closer than 0.1° are merged.

Peak list (10 most intense, 2θ from 10° to 90°, in order of rising 2θ)
28.71 deg, rel. 1000
40.77 deg, rel. 376
41.33 deg, rel. 380
50.14 deg, rel. 64
51.10 deg, rel. 202
59.45 deg, rel. 124
66.93 deg, rel. 162
67.73 deg, rel. 172
74.98 deg, rel. 124
75.36 deg, rel. 64

Structural model:
a = 4.3691 Å, b = 4.3691 Å, c = 10.9163 Å
α = 90.00°, β = 90.00°, γ = 120.00°
Atoms (fractional coordinates):
Pr 0.0000 0.0000 0.0000
Ho 0.3333 0.6667 0.6612
Ho 0.6667 0.3333 0.3388
Te 0.0000 0.0000 0.5000
Te 0.3333 0.6667 0.1816
Te 0.6667 0.3333 0.8184

# 3
Diffraction record for RbTaCu2S4. The powder XRD pattern is computed, not measured: it uses DFT lattice parameters and positions (GGA-PBE) and Cu Kα.
Lines closer than 0.1° are merged.

Peak list (10 most intense, 2θ from 10° to 90°, in order of rising 2θ)
15.09 deg, rel. 1000
16.60 deg, rel. 507
18.98 deg, rel. 246
22.37 deg, rel. 264
23.59 deg, rel. 314
28.74 deg, rel. 222
32.06 deg, rel. 216
35.67 deg, rel. 509
44.85 deg, rel. 472
50.13 deg, rel. 293

Structural model:
a = 7.5421 Å, b = 9.7589 Å, c = 9.7589 Å
α = 146.82°, β = 90.00°, γ = 90.00°
Atoms (fractional coordinates):
Rb 0.2500 0.1816 0.8184
Rb 0.7500 0.8184 0.1816
Ta 0.2500 0.6406 0.8604
Ta 0.7500 0.8604 0.6406
Cu 0.0000 0.7319 0.7319
Cu 0.2500 0.1456 0.3558
Cu 0.5000 0.7319 0.7319
Cu 0.7500 0.3558 0.1456
S 0.0030 0.4020 0.6135
S 0.2500 0.7956 0.2087
S 0.2500 0.9788 0.9927
S 0.4970 0.4020 0.6135
S 0.5030 0.6135 0.4020
S 0.7500 0.2087 0.7956
S 0.7500 0.9927 0.9788
S 0.9970 0.6135 0.4020

# 4
Diffraction record for CoCuS4. The powder XRD pattern is computed, not measured: it uses DFT lattice parameters and positions (GGA-PBE) and Cu Kα.
Lines closer than 0.1° are merged.

Peak list (10 most intense, 2θ from 10° to 90°, in order of rising 2θ)
27.32 deg, rel. 173
31.77 deg, rel. 1000
35.65 deg, rel. 231
39.04 deg, rel. 149
45.48 deg, rel. 86
45.55 deg, rel. 169
53.83 deg, rel. 215
53.96 deg, rel. 210
54.12 deg, rel. 218
54.21 deg, rel. 134

Structural model:
a = 7.9228 Å, b = 7.9608 Å, c = 9.7851 Å
α = 89.64°, β = 89.88°, γ = 60.30°
Atoms (fractional coordinates):
Co 0.0000 0.0000 0.0000
Co 0.0000 0.5000 0.0000
Co 0.1651 0.1685 0.6714
Co 0.5000 0.0000 0.0000
Co 0.5000 0.5000 0.0000
Co 0.8349 0.8315 0.3286
Cu 0.1655 0.6672 0.6710
Cu 0.3332 0.8368 0.3298
Cu 0.3364 0.3313 0.3296
Cu 0.6636 0.6687 0.6704
Cu 0.6668 0.1632 0.6702
Cu 0.8345 0.3328 0.3290
S 0.0710 0.0749 0.4746
S 0.0939 0.3147 0.1895
S 0.1391 0.4198 0.5389
S 0.1507 0.6754 0.2717
S 0.1632 0.6675 0.0572
S 0.1830 0.9215 0.8055
S 0.2353 0.0309 0.1196
S 0.2652 0.2623 0.8715
S 0.4108 0.4092 0.8081
S 0.4309 0.6373 0.5346
S 0.4707 0.7689 0.8811
S 0.4875 0.0054 0.6060
S 0.5125 0.9946 0.3940
S 0.5293 0.2311 0.1189
S 0.5691 0.3627 0.4654
S 0.5892 0.5908 0.1919
S 0.7348 0.7377 0.1285
S 0.7647 0.9691 0.8804
S 0.8170 0.0785 0.1945
S 0.8368 0.3325 0.9428
S 0.8493 0.3246 0.7283
S 0.8609 0.5802 0.4611
S 0.9061 0.6853 0.8105
S 0.9290 0.9251 0.5254

# 5
Diffraction record for SrLaPt. The powder XRD pattern is computed, not measured: it uses DFT lattice parameters and positions (GGA-PBE) and Cu Kα.
Lines closer than 0.1° are merged.

Peak list (10 most intense, 2θ from 10° to 90°, in order of rising 2θ)
10.32 deg, rel. 1000
18.44 deg, rel. 283
22.54 deg, rel. 261
28.94 deg, rel. 970
30.75 deg, rel. 437
40.61 deg, rel. 375
42.74 deg, rel. 677
51.78 deg, rel. 204
68.90 deg, rel. 165
71.78 deg, rel. 162

Structural model:
a = 4.4439 Å, b = 5.8148 Å, c = 8.5718 Å
α = 90.00°, β = 90.00°, γ = 90.00°
Atoms (fractional coordinates):
Sr 0.2500 0.2500 0.1261
Sr 0.7500 0.7500 0.8739
La 0.2500 0.2500 0.5945
La 0.7500 0.7500 0.4055
Pt 0.2500 0.7500 0.6324
Pt 0.7500 0.2500 0.3676

# 6
Diffraction record for BeSn2Au. The powder XRD pattern is computed, not measured: it uses DFT lattice parameters and positions (GGA-PBE) and Cu Kα.
Lines closer than 0.1° are merged.

Peak list (10 most intense, 2θ from 10° to 90°, in order of rising 2θ)
22.13 deg, rel. 220
25.61 deg, rel. 225
36.53 deg, rel. 1000
43.12 deg, rel. 122
45.14 deg, rel. 69
52.62 deg, rel. 179
59.41 deg, rel. 92
65.75 deg, rel. 373
77.63 deg, rel. 120
88.98 deg, rel. 180

Structural model:
a = 6.9578 Å, b = 6.9578 Å, c = 6.9578 Å
α = 90.00°, β = 90.00°, γ = 90.00°
Atoms (fractional coordinates):
Be 0.0000 0.0000 0.0000
Be 0.0000 0.5000 0.5000
Be 0.5000 0.0000 0.5000
Be 0.5000 0.5000 0.0000
Sn 0.0000 0.0000 0.5000
Sn 0.0000 0.5000 0.0000
Sn 0.2500 0.2500 0.7500
Sn 0.2500 0.7500 0.2500
Sn 0.5000 0.0000 0.0000
Sn 0.5000 0.5000 0.5000
Sn 0.7500 0.2500 0.2500
Sn 0.7500 0.7500 0.7500
Au 0.2500 0.2500 0.2500
Au 0.2500 0.7500 0.7500
Au 0.7500 0.2500 0.7500
Au 0.7500 0.7500 0.2500

# 7
Diffraction record for Y2MgCdAg4. The powder XRD pattern is computed, not measured: it uses DFT lattice parameters and positions (GGA-PBE) and Cu Kα.
Lines closer than 0.1° are merged.

Peak list (10 most intense, 2θ from 10° to 90°, in order of rising 2θ)
12.64 deg, rel. 20
17.89 deg, rel. 26
25.42 deg, rel. 35
28.47 deg, rel. 22
31.27 deg, rel. 13
36.25 deg, rel. 1000
52.20 deg, rel. 168
65.21 deg, rel. 333
76.95 deg, rel. 102
88.16 deg, rel. 147

Structural model:
a = 4.9583 Å, b = 7.0051 Å, c = 4.9565 Å
α = 90.00°, β = 90.00°, γ = 90.00°
Atoms (fractional coordinates):
Y 0.0000 0.0000 0.0000
Y 0.5000 0.5000 0.4932
Mg 0.5000 0.0000 0.4959
Cd 0.0000 0.5000 0.9991
Ag 0.0000 0.2456 0.5004
Ag 0.0000 0.7544 0.5004
Ag 0.5000 0.2455 0.9932
Ag 0.5000 0.7545 0.9932

# 8
Diffraction record for BiPt9. The powder XRD pattern is computed, not measured: it uses DFT lattice parameters and positions (GGA-PBE) and Cu Kα.
Lines closer than 0.1° are merged.

Peak list (10 most intense, 2θ from 10° to 90°, in order of rising 2θ)
37.65 deg, rel. 1000
38.59 deg, rel. 986
39.04 deg, rel. 443
40.16 deg, rel. 434
40.91 deg, rel. 405
41.59 deg, rel. 411
44.21 deg, rel. 909
48.46 deg, rel. 344
67.52 deg, rel. 387
67.81 deg, rel. 317

Structural model:
a = 4.6591 Å, b = 3.0368 Å, c = 36.9475 Å
α = 90.00°, β = 92.26°, γ = 90.00°
Atoms (fractional coordinates):
Bi 0.1012 0.2500 0.3024
Bi 0.8988 0.7500 0.6976
Pt 0.0822 0.2500 0.1202
Pt 0.0822 0.2500 0.9397
Pt 0.1006 0.2500 0.7572
Pt 0.2427 0.7500 0.1805
Pt 0.2491 0.7500 0.0000
Pt 0.2566 0.7500 0.8189
Pt 0.4140 0.2500 0.2422
Pt 0.4181 0.2500 0.0599
Pt 0.4180 0.2500 0.8797
Pt 0.5820 0.7500 0.1203
Pt 0.5819 0.7500 0.9401
Pt 0.5860 0.7500 0.7578
Pt 0.7434 0.2500 0.1811
Pt 0.7509 0.2500 0.0000
Pt 0.7573 0.2500 0.8195
Pt 0.8994 0.7500 0.2428
Pt 0.9178 0.7500 0.0603
Pt 0.9178 0.7500 0.8798

# 9
Diffraction record for Hf2Si3Au2. The powder XRD pattern is computed, not measured: it uses DFT lattice parameters and positions (GGA-PBE) and Cu Kα.
Lines closer than 0.1° are merged.

Peak list (10 most intense, 2θ from 10° to 90°, in order of rising 2θ)
28.21 deg, rel. 1000
37.69 deg, rel. 701
42.81 deg, rel. 519
43.09 deg, rel. 119
52.06 deg, rel. 191
58.34 deg, rel. 199
62.36 deg, rel. 242
64.42 deg, rel. 128
69.61 deg, rel. 162
75.02 deg, rel. 192

Structural model:
a = 8.7444 Å, b = 8.7444 Å, c = 8.7444 Å
α = 27.96°, β = 27.96°, γ = 27.96°
Atoms (fractional coordinates):
Hf 0.0000 0.0000 0.0000
Hf 0.4944 0.4944 0.4944
Si 0.3901 0.3901 0.3901
Si 0.6137 0.6137 0.6137
Si 0.8595 0.8595 0.8595
Au 0.2479 0.2479 0.2479
Au 0.7478 0.7478 0.7478

# 10
Diffraction record for YHo2Er2Tm2Ni2Te2. The powder XRD pattern is computed, not measured: it uses DFT lattice parameters and positions (GGA-PBE) and Cu Kα.
Lines closer than 0.1° are merged.

Peak list (10 most intense, 2θ from 10° to 90°, in order of rising 2θ)
25.02 deg, rel. 259
28.96 deg, rel. 192
30.48 deg, rel. 432
33.14 deg, rel. 828
34.18 deg, rel. 1000
34.68 deg, rel. 840
36.77 deg, rel. 201
38.62 deg, rel. 221
47.37 deg, rel. 297
59.03 deg, rel. 318

Structural model:
a = 9.3031 Å, b = 9.3031 Å, c = 9.3031 Å
α = 156.19°, β = 66.90°, γ = 118.52°
Atoms (fractional coordinates):
Y 0.0000 0.0000 0.0000
Ho 0.2849 0.4178 0.8671
Ho 0.5507 0.4178 0.1329
Er 0.6218 0.2697 0.3522
Er 0.9175 0.2697 0.6478
Tm 0.3058 0.6204 0.6854
Tm 0.9350 0.6204 0.3146
Ni 0.1659 0.9283 0.2376
Ni 0.6907 0.9283 0.7624
Te 0.2645 0.7645 0.5000
Te 0.6642 0.6642 0.0000

# 11
Diffraction record for Te7Pd20. The powder XRD pattern is computed, not measured: it uses DFT lattice parameters and positions (GGA-PBE) and Cu Kα.
Lines closer than 0.1° are merged.

Peak list (10 most intense, 2θ from 10° to 90°, in order of rising 2θ)
36.32 deg, rel. 155
38.30 deg, rel. 141
38.78 deg, rel. 98
39.43 deg, rel. 944
39.94 deg, rel. 1000
45.11 deg, rel. 164
46.96 deg, rel. 96
57.37 deg, rel. 112
71.15 deg, rel. 93
72.19 deg, rel. 107

Structural model:
a = 7.8528 Å, b = 7.8528 Å, c = 7.8528 Å
α = 99.02°, β = 99.02°, γ = 99.02°
Atoms (fractional coordinates):
Te 0.0000 0.0000 0.0000
Te 0.1214 0.2767 0.5460
Te 0.2767 0.5460 0.1214
Te 0.4540 0.8786 0.7233
Te 0.5460 0.1214 0.2767
Te 0.7233 0.4540 0.8786
Te 0.8786 0.7233 0.4540
Pd 0.0050 0.3366 0.2234
Pd 0.0119 0.3135 0.8563
Pd 0.1437 0.9881 0.6865
Pd 0.2139 0.6709 0.4679
Pd 0.2234 0.0050 0.3366
Pd 0.3135 0.8563 0.0119
Pd 0.3291 0.5321 0.7861
Pd 0.3366 0.2234 0.0050
Pd 0.3789 0.3789 0.3789
Pd 0.4679 0.2139 0.6709
Pd 0.5321 0.7861 0.3291
Pd 0.6211 0.6211 0.6211
Pd 0.6634 0.7766 0.9950
Pd 0.6709 0.4679 0.2139
Pd 0.6865 0.1437 0.9881
Pd 0.7766 0.9950 0.6634
Pd 0.7861 0.3291 0.5321
Pd 0.8563 0.0119 0.3135
Pd 0.9881 0.6865 0.1437
Pd 0.9950 0.6634 0.7766

# 12
Diffraction record for Be2Pt3Au. The powder XRD pattern is computed, not measured: it uses DFT lattice parameters and positions (GGA-PBE) and Cu Kα.
Lines closer than 0.1° are merged.

Peak list (10 most intense, 2θ from 10° to 90°, in order of rising 2θ)
33.09 deg, rel. 848
35.31 deg, rel. 380
41.77 deg, rel. 1000
45.68 deg, rel. 485
59.02 deg, rel. 354
66.59 deg, rel. 160
73.41 deg, rel. 313
76.40 deg, rel. 158
77.68 deg, rel. 161
81.77 deg, rel. 296

Structural model:
a = 2.8088 Å, b = 2.8088 Å, c = 10.1670 Å
α = 90.00°, β = 90.00°, γ = 90.00°
Atoms (fractional coordinates):
Be 0.0000 0.0000 0.0000
Be 0.5000 0.5000 0.4817
Pt 0.0000 0.0000 0.3542
Pt 0.5000 0.5000 0.1405
Pt 0.5000 0.5000 0.8620
Au 0.0000 0.0000 0.6442

# 13
Diffraction record for BaAs4Au2. The powder XRD pattern is computed, not measured: it uses DFT lattice parameters and positions (GGA-PBE) and Cu Kα.
Lines closer than 0.1° are merged.

Peak list (10 most intense, 2θ from 10° to 90°, in order of rising 2θ)
20.01 deg, rel. 232
25.58 deg, rel. 415
30.80 deg, rel. 517
32.25 deg, rel. 1000
32.51 deg, rel. 453
35.43 deg, rel. 153
42.37 deg, rel. 185
45.48 deg, rel. 167
53.86 deg, rel. 399
59.71 deg, rel. 208

Structural model:
a = 12.1389 Å, b = 11.7502 Å, c = 5.7411 Å
α = 79.89°, β = 72.36°, γ = 27.75°
Atoms (fractional coordinates):
Ba 0.1250 0.1250 0.1250
Ba 0.8750 0.8750 0.8750
As 0.1085 0.4965 0.3920
As 0.3920 0.5031 0.1085
As 0.4965 0.1085 0.5031
As 0.4969 0.6080 0.5035
As 0.5031 0.3920 0.4965
As 0.5035 0.8915 0.4969
As 0.6080 0.4969 0.8915
As 0.8915 0.5035 0.6080
Au 0.0402 0.0402 0.7098
Au 0.2902 0.2902 0.9598
Au 0.7098 0.7098 0.0402
Au 0.9598 0.9598 0.2902